Calculated powder diffraction line list of Sm2IF3 for copper Kα, from a cell relaxed with GGA-PBE.

Top 12 peaks for 2θ from 10° to 80°, in order of falling intensity:
30.88 deg, intensity 100, hkl 1 1 2; 28.70 deg, intensity 73, hkl 1 3 0; 34.10 deg, intensity 68, hkl 0 4 2; 55.51 deg, intensity 33, hkl 2 4 2; 42.42 deg, intensity 27, hkl 2 0 0; 56.48 deg, intensity 27, hkl 1 7 2; 39.18 deg, intensity 24, hkl 1 5 0; 25.24 deg, intensity 22, hkl 0 2 2; 53.32 deg, intensity 20, hkl 1 3 4; 21.56 deg, intensity 20, hkl 0 0 2; 43.93 deg, intensity 18, hkl 0 0 4; 35.20 deg, intensity 15, hkl 0 2 3

Structural model:
```
data_Sm2IF3
_symmetry_space_group_name_H-M 'C 2 2 21'
_symmetry_Int_Tables_number 20
_symmetry_space_group_name_Hall 'C 2c 2'
_cell_length_a 4.262
_cell_length_b 13.654
_cell_length_c 8.244
_cell_angle_alpha 90.00
_cell_angle_beta 90.00
_cell_angle_gamma 90.00
loop_
_atom_site_label
_atom_site_type_symbol
_atom_site_fract_x
_atom_site_fract_y
_atom_site_fract_z
Sm1 Sm 0.003 0.132 0.028
I1 I 0.000 0.481 0.250
F1 F 0.000 0.229 0.250
F2 F 0.002 0.306 0.955
```


Calculated powder diffraction line list of NbInF6 for copper Kα, from a cell relaxed with GGA-PBE.

Top 12 peaks for 2θ from 10° to 80°, in order of falling intensity:
24.25 deg, intensity 100, hkl 1 0 0; 32.39 deg, intensity 55, hkl 1 0 -2; 53.05 deg, intensity 25, hkl 1 1 1; 44.41 deg, intensity 24, hkl 2 0 -2; 36.62 deg, intensity 19, hkl 1 -2 0; 53.18 deg, intensity 12, hkl -2 1 3; 58.82 deg, intensity 12, hkl -3 1 1; 63.26 deg, intensity 11, hkl 3 -2 0; 41.20 deg, intensity 9, hkl 1 -2 1; 49.63 deg, intensity 9, hkl 2 0 0; 65.89 deg, intensity 9, hkl 3 0 -2; 54.87 deg, intensity 8, hkl 0 1 -3

Structural model:
```
data_NbInF6
_symmetry_space_group_name_H-M 'P -1'
_symmetry_Int_Tables_number 2
_symmetry_space_group_name_Hall '-P 1'
_cell_length_a 4.905
_cell_length_b 4.907
_cell_length_c 5.614
_cell_angle_alpha 90.18
_cell_angle_beta 115.78
_cell_angle_gamma 119.90
loop_
_atom_site_label
_atom_site_type_symbol
_atom_site_fract_x
_atom_site_fract_y
_atom_site_fract_z
Nb1 Nb 0.000 0.000 0.000
In1 In 0.000 0.500 0.500
F1 F 0.180 0.244 0.747
F2 F 0.190 0.435 0.252
F3 F 0.497 0.065 0.252
```


Calculated powder diffraction line list of Nd2InO3F for copper Kα, from a cell relaxed with GGA-PBE.

Top 12 peaks for 2θ from 10° to 80°, in order of falling intensity:
29.03 deg, intensity 100, hkl 1 0 3; 33.89 deg, intensity 42, hkl 1 1 0; 57.68 deg, intensity 29, hkl 2 1 3; 48.12 deg, intensity 28, hkl 1 1 6; 48.69 deg, intensity 20, hkl 2 0 0; 33.13 deg, intensity 15, hkl 0 0 6; 56.68 deg, intensity 12, hkl 1 0 9; 60.16 deg, intensity 11, hkl 2 0 6; 77.91 deg, intensity 9, hkl 2 1 9; 78.77 deg, intensity 6, hkl 3 0 3; 71.31 deg, intensity 6, hkl 2 2 0; 36.66 deg, intensity 5, hkl 1 0 5

Structural model:
```
data_Nd2InO3F
_symmetry_space_group_name_H-M 'P 4/n m m'
_symmetry_Int_Tables_number 129
_cell_length_a 3.741
_cell_length_b 3.741
_cell_length_c 16.224
_cell_angle_alpha 90.00
_cell_angle_beta 90.00
_cell_angle_gamma 90.00
loop_
_symmetry_equiv_pos_as_xyz
'x,y,z'
'-x,-y,-z'
'-y+1/2,x,z'
'y+1/2,-x,-z'
'-x+1/2,-y+1/2,z'
'x+1/2,y+1/2,-z'
'y,-x+1/2,z'
'-y,x+1/2,-z'
'x+1/2,-y,-z'
'-x+1/2,y,z'
'-y,-x,-z'
'y,x,z'
'-x,y+1/2,-z'
'x,-y+1/2,z'
'y+1/2,x+1/2,-z'
'-y+1/2,-x+1/2,z'
loop_
_atom_site_label
_atom_site_type_symbol
_atom_site_fract_x
_atom_site_fract_y
_atom_site_fract_z
Nd1 Nd 0.250 0.250 0.087
Nd2 Nd 0.250 0.250 0.395
In1 In 0.250 0.250 0.753
O1 O 0.250 0.250 0.951
O2 O 0.250 0.750 0.315
F1 F 0.250 0.250 0.544
```


Calculated powder diffraction line list of Rb2ZnInF6 for copper Kα, from a cell relaxed with GGA-PBE.

Top 12 peaks for 2θ from 10° to 80°, in order of falling intensity:
30.33 deg, intensity 100, hkl 1 1 0; 23.10 deg, intensity 90, hkl 1 0 2; 28.76 deg, intensity 73, hkl 1 0 3; 43.54 deg, intensity 51, hkl 2 -1 4; 42.29 deg, intensity 39, hkl 2 0 3; 52.93 deg, intensity 31, hkl 3 -1 3; 56.49 deg, intensity 30, hkl 1 1 6; 53.89 deg, intensity 29, hkl 3 0 0; 63.13 deg, intensity 26, hkl 2 2 0; 49.76 deg, intensity 23, hkl 3 -1 2; 38.47 deg, intensity 21, hkl 2 0 2; 15.11 deg, intensity 12, hkl 0 0 2

Structural model:
```
data_Rb2ZnInF6
_symmetry_space_group_name_H-M 'P -3 1 c'
_symmetry_Int_Tables_number 163
_symmetry_space_group_name_Hall '-P 3 2c'
_cell_length_a 5.8932
_cell_length_b 5.8932
_cell_length_c 11.7301
_cell_angle_alpha 90.00
_cell_angle_beta 90.00
_cell_angle_gamma 120.00
loop_
_atom_site_label
_atom_site_type_symbol
_atom_site_fract_x
_atom_site_fract_y
_atom_site_fract_z
Rb1 Rb 0.3333 0.6667 0.0551
Zn1 Zn 0.3333 0.6667 0.7500
In1 In 0.0000 0.0000 0.2500
F1 F 0.0983 0.3572 0.8578
```


Calculated powder diffraction line list of TaIn2F6 for copper Kα, from a cell relaxed with GGA-PBE.

Top 12 peaks for 2θ from 10° to 80°, in order of falling intensity:
30.25 deg, intensity 100, hkl 0 1 -1; 18.48 deg, intensity 72, hkl 0 1 0; 30.48 deg, intensity 49, hkl 1 0 -1; 31.48 deg, intensity 46, hkl 1 1 2; 31.91 deg, intensity 44, hkl 1 2 1; 32.47 deg, intensity 41, hkl 2 1 1; 19.88 deg, intensity 41, hkl 1 1 1; 18.84 deg, intensity 41, hkl 1 0 0; 43.97 deg, intensity 35, hkl 0 2 2; 44.48 deg, intensity 34, hkl 2 0 2; 45.43 deg, intensity 32, hkl 2 2 0; 36.13 deg, intensity 23, hkl 1 1 -1

Structural model:
```
data_TaIn2F6
_symmetry_space_group_name_H-M 'P -1'
_symmetry_Int_Tables_number 2
_symmetry_space_group_name_Hall '-P 1'
_cell_length_a 5.526
_cell_length_b 5.627
_cell_length_c 5.701
_cell_angle_alpha 62.91
_cell_angle_beta 63.02
_cell_angle_gamma 63.99
loop_
_atom_site_label
_atom_site_type_symbol
_atom_site_fract_x
_atom_site_fract_y
_atom_site_fract_z
Ta1 Ta 0.000 0.000 0.000
In1 In 0.240 0.252 0.255
F1 F 0.247 0.734 0.236
F2 F 0.248 0.241 0.732
F3 F 0.268 0.758 0.763
```


Calculated powder diffraction line list of ZrTlIn2F6 for copper Kα, from a cell relaxed with GGA-PBE.

Top 12 peaks for 2θ from 10° to 80°, in order of falling intensity:
27.54 deg, intensity 100, hkl 2 2 0; 48.69 deg, intensity 41, hkl 4 2 2; 39.34 deg, intensity 32, hkl 4 0 0; 78.05 deg, intensity 22, hkl 6 4 2; 56.85 deg, intensity 20, hkl 4 4 0; 64.30 deg, intensity 20, hkl 6 2 0; 32.41 deg, intensity 7, hkl 3 1 1; 71.32 deg, intensity 6, hkl 4 4 4; 16.76 deg, intensity 5, hkl 1 1 1; 19.38 deg, intensity 5, hkl 2 0 0; 43.03 deg, intensity 5, hkl 3 3 1; 51.85 deg, intensity 2, hkl 3 3 3

Structural model:
```
data_ZrTlIn2F6
_symmetry_space_group_name_H-M 'F m -3 m'
_symmetry_Int_Tables_number 225
_symmetry_space_group_name_Hall '-F 4 2 3'
_cell_length_a 9.162
_cell_length_b 9.162
_cell_length_c 9.162
_cell_angle_alpha 90.00
_cell_angle_beta 90.00
_cell_angle_gamma 90.00
loop_
_atom_site_label
_atom_site_type_symbol
_atom_site_fract_x
_atom_site_fract_y
_atom_site_fract_z
Zr1 Zr 0.000 0.000 0.000
Tl1 Tl 0.000 0.000 0.500
In1 In 0.250 0.250 0.250
F1 F 0.000 0.000 0.220
```


Calculated powder diffraction line list of Zr3InF15 for copper Kα, from a cell relaxed with GGA-PBE.

Top 12 peaks for 2θ from 10° to 80°, in order of falling intensity:
23.61 deg, intensity 100, hkl 2 0 2; 47.35 deg, intensity 37, hkl 4 1 3; 24.22 deg, intensity 25, hkl 2 1 1; 32.34 deg, intensity 25, hkl 1 3 1; 55.67 deg, intensity 24, hkl 5 2 0; 30.03 deg, intensity 22, hkl 2 2 0; 52.37 deg, intensity 21, hkl 3 3 3; 47.05 deg, intensity 19, hkl 5 0 2; 28.51 deg, intensity 16, hkl 1 1 3; 56.79 deg, intensity 15, hkl 0 3 6; 77.73 deg, intensity 14, hkl 2 5 6; 25.93 deg, intensity 12, hkl 3 0 0

Structural model:
```
data_Zr3InF15
_symmetry_space_group_name_H-M 'R -3 c'
_symmetry_Int_Tables_number 167
_symmetry_space_group_name_Hall '-R 3 2"c'
_cell_length_a 11.9032
_cell_length_b 11.9032
_cell_length_c 11.0444
_cell_angle_alpha 90.00
_cell_angle_beta 90.00
_cell_angle_gamma 120.00
loop_
_atom_site_label
_atom_site_type_symbol
_atom_site_fract_x
_atom_site_fract_y
_atom_site_fract_z
Zr1 Zr 0.0000 0.4348 0.2500
In1 In 0.0000 0.0000 0.2500
F1 F 0.0000 0.2876 0.7500
F2 F 0.0547 0.4787 0.6158
F3 F 0.0641 0.1592 0.1365
```


Calculated powder diffraction line list of Ir5F for copper Kα, from a cell relaxed with GGA-PBE.

Top 12 peaks for 2θ from 10° to 80°, in order of falling intensity:
40.93 deg, intensity 100, hkl 1 1 1; 20.15 deg, intensity 98, hkl 1 0 0; 46.03 deg, intensity 93, hkl 2 0 1; 40.77 deg, intensity 37, hkl 0 0 2; 45.89 deg, intensity 22, hkl 1 0 2; 77.94 deg, intensity 20, hkl 2 0 3; 74.64 deg, intensity 19, hkl 2 2 0; 67.17 deg, intensity 19, hkl 3 0 1; 74.32 deg, intensity 14, hkl 1 1 3; 55.16 deg, intensity 13, hkl 2 1 0; 59.18 deg, intensity 13, hkl 2 0 2; 70.82 deg, intensity 13, hkl 2 1 2

Structural model:
```
data_Ir5F
_symmetry_space_group_name_H-M 'P 6/m m m'
_symmetry_Int_Tables_number 191
_symmetry_space_group_name_Hall '-P 6 2'
_cell_length_a 5.0866
_cell_length_b 5.0866
_cell_length_c 4.4265
_cell_angle_alpha 90.00
_cell_angle_beta 90.00
_cell_angle_gamma 120.00
loop_
_atom_site_label
_atom_site_type_symbol
_atom_site_fract_x
_atom_site_fract_y
_atom_site_fract_z
Ir1 Ir 0.0000 0.5000 0.0000
Ir2 Ir 0.3333 0.6667 0.5000
F1 F 0.0000 0.0000 0.5000
```